No. 1
Starting from DFT lattice parameters and positions (PBE), the PXRD pattern of K4Br2O was computed for CuKα.
No peak broadening, texture or thermal motion is included.

The 10 most intense peaks (2θ from 10° to 90°), sorted by position:
2θ = 23.29°, intensity 25; 2θ = 24.04°, intensity 50; 2θ = 26.32°, intensity 46; 2θ = 32.04°, intensity 29; 2θ = 32.27°, intensity 100; 2θ = 34.26°, intensity 70; 2θ = 47.61°, intensity 35; 2θ = 49.23°, intensity 23; 2θ = 60.09°, intensity 30; 2θ = 60.65°, intensity 18

Crystal structure
Cell lengths 9.161, 9.161, 9.161 Å; angles 146.79, 146.79, 47.67 degrees
Positions (direct):
K 0.000 0.500 0.500
K 0.155 0.155 0.000
K 0.500 0.000 0.500
K 0.845 0.845 0.000
Br 0.354 0.354 0.000
Br 0.646 0.646 0.000
O 0.000 0.000 0.000

No. 2
Starting from DFT lattice parameters and positions (PBE), the PXRD pattern of K2P4PtBrO11 was computed for CuKα.
No peak broadening, texture or thermal motion is included.

The 10 most intense peaks (2θ from 10° to 90°), sorted by position:
2θ = 10.47°, intensity 100; 2θ = 10.67°, intensity 9; 2θ = 10.90°, intensity 13; 2θ = 17.94°, intensity 17; 2θ = 18.42°, intensity 20; 2θ = 21.04°, intensity 9; 2θ = 22.97°, intensity 10; 2θ = 25.90°, intensity 16; 2θ = 27.61°, intensity 8; 2θ = 35.64°, intensity 13

Crystal structure
Cell lengths 10.330, 10.191, 11.603 Å; angles 56.13, 55.01, 68.86 degrees
Positions (direct):
K 0.207 0.793 0.207
K 0.280 0.280 0.220
K 0.780 0.780 0.720
K 0.793 0.207 0.793
P 0.097 0.511 0.673
P 0.281 0.327 0.489
P 0.327 0.281 0.903
P 0.476 0.930 0.220
P 0.511 0.097 0.719
P 0.626 0.780 0.070
P 0.780 0.626 0.524
P 0.930 0.476 0.374
Pt 0.336 0.495 0.664
Pt 0.495 0.336 0.505
Br 0.324 0.726 0.676
Br 0.726 0.324 0.274
O 0.107 0.666 0.531
O 0.137 0.356 0.644
O 0.164 0.273 0.036
O 0.273 0.164 0.527
O 0.304 0.469 0.334
O 0.304 0.970 0.266
O 0.356 0.137 0.863
O 0.469 0.304 0.893
O 0.473 0.964 0.727
O 0.526 0.740 0.260
O 0.540 0.734 0.030
O 0.548 0.997 0.256
O 0.583 0.970 0.030
O 0.666 0.107 0.696
O 0.734 0.540 0.696
O 0.740 0.526 0.474
O 0.744 0.801 0.452
O 0.801 0.744 0.003
O 0.964 0.473 0.836
O 0.970 0.304 0.460
O 0.970 0.583 0.417
O 0.997 0.548 0.199

No. 3
Starting from DFT lattice parameters and positions (PBE), the PXRD pattern of KPbBr3O was computed for CuKα.
No peak broadening, texture or thermal motion is included.

The 10 most intense peaks (2θ from 10° to 90°), sorted by position:
2θ = 13.48°, intensity 100; 2θ = 20.67°, intensity 44; 2θ = 21.94°, intensity 47; 2θ = 25.44°, intensity 46; 2θ = 30.99°, intensity 64; 2θ = 35.55°, intensity 24; 2θ = 36.34°, intensity 44; 2θ = 38.41°, intensity 28; 2θ = 38.72°, intensity 38; 2θ = 47.63°, intensity 23

Crystal structure
Cell lengths 10.113, 10.113, 8.827 Å; angles 90.00, 90.00, 153.20 degrees
Positions (direct):
K 0.072 0.928 0.500
K 0.928 0.072 0.000
Pb 0.323 0.677 0.517
Pb 0.677 0.323 0.017
Br 0.108 0.892 0.864
Br 0.224 0.776 0.233
Br 0.460 0.540 0.682
Br 0.540 0.460 0.182
Br 0.776 0.224 0.733
Br 0.892 0.108 0.364
O 0.439 0.561 0.882
O 0.561 0.439 0.382

No. 4
Starting from DFT lattice parameters and positions (PBE), the PXRD pattern of K2PtBr4O2 was computed for CuKα.
No peak broadening, texture or thermal motion is included.

The 10 most intense peaks (2θ from 10° to 90°), sorted by position:
2θ = 12.14°, intensity 100; 2θ = 19.62°, intensity 80; 2θ = 23.14°, intensity 82; 2θ = 24.39°, intensity 43; 2θ = 28.90°, intensity 26; 2θ = 30.57°, intensity 49; 2θ = 35.20°, intensity 35; 2θ = 39.86°, intensity 40; 2θ = 42.92°, intensity 32; 2θ = 44.85°, intensity 25

Crystal structure
Cell lengths 9.034, 12.344, 4.525 Å; angles 90.00, 90.00, 90.00 degrees
Positions (direct):
K 0.174 0.180 0.000
K 0.326 0.680 0.000
K 0.674 0.320 0.000
K 0.826 0.820 0.000
Pt 0.000 0.500 0.500
Pt 0.500 0.000 0.500
Br 0.043 0.695 0.500
Br 0.233 0.970 0.500
Br 0.267 0.470 0.500
Br 0.457 0.195 0.500
Br 0.543 0.805 0.500
Br 0.733 0.530 0.500
Br 0.767 0.030 0.500
Br 0.957 0.305 0.500
O 0.137 0.856 0.000
O 0.363 0.356 0.000
O 0.637 0.644 0.000
O 0.863 0.144 0.000